Diffraction record for NdDyAu. The XRD peak list is theoretical, not measured: it uses a crystal structure in Alexandria, relaxed with GGA-PBE and Cu Kα (λ = 1.5418 Å).
Lines closer than 0.1° are merged.

Largest 10 diffraction maxima, low angle first, 10° ≤ 2θ ≤ 90°:
hkl 1 0 0, 13.65 deg, rel. 308
hkl 1 2 0, 29.34 deg, rel. 199
hkl 1 2 -1, 30.97 deg, rel. 966
hkl 1 1 2, 31.48 deg, rel. 637
hkl 2 0 -2, 33.94 deg, rel. 1000
hkl 1 2 -2, 36.65 deg, rel. 261
hkl 0 1 3, 37.69 deg, rel. 517
hkl 1 3 1, 43.92 deg, rel. 312
hkl 1 1 -4, 49.85 deg, rel. 164
hkl 3 3 -1, 58.79 deg, rel. 171

Atomic structure:
a b c (Å): 6.541 6.893 7.695
angles (deg): 90.00 97.35 90.00
Space group P2_1/c (No. 14)
Asymmetric unit:
Nd: 0.212 0.164 0.011 x4
Dy: 0.341 0.660 0.167 x4
Au: 0.092 0.550 0.831 x4